# 1
Computed powder XRD pattern
Compound: PrSm3Dy6
Radiation: Cu Kα X-rays
Structure: the GGA-PBE geometry in Alexandria
Kinematic intensities with the Lorentz-polarization factor, no thermal factor.

Principal peaks in the range 10 to 90 degrees two-theta, by angle:
29.17°, rel. 68.8
31.23°, rel. 100.0
32.41°, rel. 14.2
41.61°, rel. 12.8
43.26°, rel. 23.5
54.32°, rel. 24.0
55.58°, rel. 19.5
57.26°, rel. 13.8
65.14°, rel. 12.0
72.93°, rel. 9.8

```
PrSm3Dy6
1.0
4.9605 2.8639 3.8900
-4.9605 2.8639 3.8900
0.0000 -5.7279 3.8900
Pr Sm Dy
1 3 6
direct
0.0000 0.0000 0.0000
0.2522 0.2522 0.2522
0.5000 0.5000 0.5000
0.7478 0.7478 0.7478
0.0000 0.3279 0.6721
0.1736 0.8264 0.5000
0.3279 0.6721 0.0000
0.5000 0.1736 0.8264
0.6721 0.0000 0.3279
0.8264 0.5000 0.1736
```



# 2
Computed powder XRD pattern
Compound: Pr5SmDy3
Radiation: Cu Kα X-rays
Structure: the GGA-PBE geometry in Alexandria
Kinematic intensities with the Lorentz-polarization factor, no thermal factor.

Principal peaks in the range 10 to 90 degrees two-theta, by angle:
26.28°, rel. 32.2
28.41°, rel. 71.7
29.20°, rel. 93.8
29.81°, rel. 50.9
30.13°, rel. 54.2
31.08°, rel. 100.0
32.76°, rel. 44.9
33.39°, rel. 91.9
34.75°, rel. 37.8
53.99°, rel. 31.9

```
Pr5SmDy3
1.0
10.2104 -3.1589 0.0000
10.2104 3.1589 0.0000
-6.2613 0.0000 9.9096
Pr Sm Dy
10 2 6
direct
0.0387 0.6803 0.3426
0.0950 0.9050 0.7500
0.1353 0.5060 0.6658
0.3197 0.9613 0.1574
0.4940 0.8647 0.8342
0.5060 0.1353 0.1658
0.6803 0.0387 0.8426
0.8647 0.4940 0.3342
0.9050 0.0950 0.2500
0.9613 0.3197 0.6574
0.3893 0.6107 0.2500
0.6107 0.3893 0.7500
0.0988 0.5487 0.9727
0.4513 0.9012 0.5273
0.5000 0.5000 0.0000
0.5000 0.5000 0.5000
0.5487 0.0988 0.4727
0.9012 0.4513 0.0273
```



# 3
Computed powder XRD pattern
Compound: Pr5Sm4Dy3
Radiation: Cu Kα X-rays
Structure: the GGA-PBE geometry in Alexandria
Kinematic intensities with the Lorentz-polarization factor, no thermal factor.

Principal peaks in the range 10 to 90 degrees two-theta, by angle:
28.90°, rel. 100.0
29.14°, rel. 95.4
32.15°, rel. 59.2
33.94°, rel. 40.6
34.76°, rel. 44.4
47.44°, rel. 31.8
48.07°, rel. 30.2
55.33°, rel. 16.3
55.47°, rel. 15.7
60.41°, rel. 14.3

```
Pr5Sm4Dy3
1.0
5.7704 -2.7845 0.0000
5.7704 2.7845 0.0000
-3.6103 0.0000 12.9942
Pr Sm Dy
5 4 3
direct
0.0000 0.0000 0.0000
0.1384 0.1384 0.4644
0.3320 0.3320 0.7358
0.6680 0.6680 0.2642
0.8616 0.8616 0.5356
0.2690 0.2690 0.1049
0.4088 0.4088 0.3703
0.5912 0.5912 0.6297
0.7310 0.7310 0.8951
0.0456 0.0456 0.7833
0.5000 0.5000 0.0000
0.9544 0.9544 0.2167
```



# 4
Computed powder XRD pattern
Compound: Pr4SmDy10
Radiation: Cu Kα X-rays
Structure: the GGA-PBE geometry in Alexandria
Kinematic intensities with the Lorentz-polarization factor, no thermal factor.

Principal peaks in the range 10 to 90 degrees two-theta, by angle:
26.64°, rel. 80.7
28.68°, rel. 74.2
28.92°, rel. 100.0
32.44°, rel. 81.9
33.53°, rel. 82.9
34.16°, rel. 41.8
41.36°, rel. 29.8
41.91°, rel. 31.0
44.86°, rel. 44.2
59.95°, rel. 45.0

```
Pr4SmDy10
1.0
-4.8808 4.8808 5.3427
4.8808 -4.8808 5.3427
4.8808 4.8808 -5.3427
Pr Sm Dy
4 1 10
direct
0.0655 0.3332 0.3986
0.3332 0.9345 0.2677
0.6668 0.0655 0.7323
0.9345 0.6668 0.6014
0.0000 0.0000 0.0000
0.1305 0.4543 0.9048
0.2257 0.1305 0.6762
0.2500 0.7500 0.5000
0.4505 0.7743 0.9048
0.4543 0.5495 0.3238
0.5457 0.4505 0.6762
0.5495 0.2257 0.0952
0.7500 0.2500 0.5000
0.7743 0.8695 0.3238
0.8695 0.5457 0.0952
```